Structure and calculated powder X-ray diffraction pattern of PdRuS2 (a structure optimized by DFT (PBE); Cu Kα).

Most intense lines, 5° ≤ 2θ ≤ 70°, low angle first:
d (Å)  I_rel  (hkl)
3.083  100  1 1 2
2.670  22  2 0 0
1.888  54  2 0 4
1.610  42  1 1 6
1.542  6  2 2 4

Atomic structure:
abc: 5.3426 5.3426 10.6706
angles: 90.00 90.00 90.00
Space group I-42d (No. 122)
Unique sites:
Pd 0.0000 0.0000 0.0000
Ru 0.0000 0.0000 0.5000
S 0.2270 0.2500 0.6250